Starting from a cell relaxed with GGA+U, the powder X-ray diffraction pattern of Na2VAgF6 was calculated for copper Kα.
No peak broadening, texture or thermal motion is included.

Cell and atoms:
```
data_Na2VAgF6
_cell_length_a 5.9617
_cell_length_b 5.9617
_cell_length_c 5.6904
_cell_angle_alpha 117.26
_cell_angle_beta 117.26
_cell_angle_gamma 59.36
_space_group_name_H-M_alt 'P 1'
_space_group_IT_number 1
_space_group_name_Hall 'P 1'
loop_
_atom_site_label
_atom_site_fract_x
_atom_site_fract_y
_atom_site_fract_z
Na1 0.2501 0.2501 0.2013
Na2 0.7499 0.7499 0.7988
V1 0.5000 0.5000 0.0000
Ag1 0.0000 0.0000 0.5000
F1 0.1777 0.6485 0.1299
F2 0.3081 0.3081 0.6424
F3 0.3515 0.8223 0.8701
F4 0.6485 0.1777 0.1299
F5 0.6919 0.6919 0.3576
F6 0.8223 0.3515 0.8701
```

Most intense lines, 5° ≤ 2θ ≤ 70°, in order of falling intensity:
| d [Å] | I/Imax |
| --- | --- |
| 2.971 | 100.0 |
| 4.096 | 98.0 |
| 3.027 | 74.3 |
| 1.764 | 48.8 |
| 2.048 | 46.9 |
| 4.401 | 44.5 |
| 2.952 | 32.6 |
| 1.844 | 27.7 |